This entry pairs a crystal structure of Na3TlF7 with its computed XRD peak list. Radiation: Cu Kα, 1.54184 Å. Structure: the PBE geometry in Alexandria.

Principal peaks in the range 10 to 80 degrees two-theta, by angle:
2θ = 17.9°, d = 4.964 Å, intensity 100
2θ = 18.1°, d = 4.893 Å, intensity 75
2θ = 18.5°, d = 4.793 Å, intensity 36
2θ = 21.6°, d = 4.120 Å, intensity 38
2θ = 28.9°, d = 3.089 Å, intensity 30
2θ = 29.0°, d = 3.075 Å, intensity 56

Atomic structure:
Lattice parameters (Å, degrees): 5.748 5.748 6.249 117.38 117.38 88.40
Fractional positions:
Na 0.000 0.000 0.000
Na 0.276 0.726 0.562
Na 0.726 0.276 0.562
Tl 0.564 0.564 0.125
F 0.155 0.569 0.806
F 0.351 0.889 0.300
F 0.367 0.367 0.241
F 0.569 0.155 0.806
F 0.677 0.677 0.891
F 0.889 0.351 0.300
F 0.896 0.896 0.525

---

This entry pairs a crystal structure of Na2YTlF8 with its computed XRD peak list. Radiation: Cu Kα, 1.54184 Å. Structure: the PBE geometry in Alexandria.

Principal peaks in the range 10 to 80 degrees two-theta, by angle:
2θ = 15.9°, d = 5.575 Å, intensity 57
2θ = 23.1°, d = 3.843 Å, intensity 21
2θ = 23.3°, d = 3.824 Å, intensity 20
2θ = 28.2°, d = 3.159 Å, intensity 100
2θ = 36.9°, d = 2.438 Å, intensity 21
2θ = 46.7°, d = 1.943 Å, intensity 51

Atomic structure:
Lattice parameters (Å, degrees): 3.824 5.575 7.686 90.00 90.00 90.00
Fractional positions:
Na 0.000 0.000 0.248
Na 0.000 0.000 0.752
Y 0.500 0.500 0.500
Tl 0.500 0.500 0.000
F 0.000 0.265 0.000
F 0.000 0.269 0.500
F 0.000 0.731 0.500
F 0.000 0.735 0.000
F 0.500 0.268 0.251
F 0.500 0.268 0.749
F 0.500 0.732 0.251
F 0.500 0.732 0.749

---

This entry pairs a crystal structure of NaTl3Zn2F8 with its computed XRD peak list. Radiation: Cu Kα, 1.54184 Å. Structure: the PBE geometry in Alexandria.

Principal peaks in the range 10 to 80 degrees two-theta, by angle:
2θ = 20.1°, d = 4.413 Å, intensity 63
2θ = 28.3°, d = 3.157 Å, intensity 80
2θ = 28.9°, d = 3.085 Å, intensity 100
2θ = 35.5°, d = 2.528 Å, intensity 29
2θ = 40.9°, d = 2.207 Å, intensity 45
2θ = 50.9°, d = 1.795 Å, intensity 33

Atomic structure:
Lattice parameters (Å, degrees): 6.170 6.170 7.828 90.00 90.00 120.00
Fractional positions:
Na 0.000 0.000 0.000
Tl 0.000 0.000 0.500
Tl 0.333 0.667 0.150
Tl 0.667 0.333 0.850
Zn 0.333 0.667 0.711
Zn 0.667 0.333 0.289
F 0.166 0.333 0.808
F 0.166 0.834 0.808
F 0.333 0.166 0.192
F 0.333 0.667 0.468
F 0.667 0.333 0.532
F 0.667 0.834 0.808
F 0.834 0.166 0.192
F 0.834 0.667 0.192

---

This entry pairs a crystal structure of Na3Tl3ZnF8 with its computed XRD peak list. Radiation: Cu Kα, 1.54184 Å. Structure: the PBE geometry in Alexandria.

Principal peaks in the range 10 to 80 degrees two-theta, by angle:
2θ = 13.9°, d = 6.360 Å, intensity 58
2θ = 15.5°, d = 5.710 Å, intensity 70
2θ = 30.2°, d = 2.956 Å, intensity 44
2θ = 31.3°, d = 2.855 Å, intensity 64
2θ = 35.4°, d = 2.535 Å, intensity 100
2θ = 48.8°, d = 1.865 Å, intensity 34

Atomic structure:
Lattice parameters (Å, degrees): 7.508 7.508 7.508 54.80 54.80 54.80
Fractional positions:
Na 0.000 0.500 0.500
Na 0.500 0.000 0.500
Na 0.500 0.500 0.000
Tl 0.000 0.000 0.500
Tl 0.000 0.500 0.000
Tl 0.500 0.000 0.000
Zn 0.000 0.000 0.000
F 0.207 0.207 0.766
F 0.207 0.766 0.207
F 0.234 0.793 0.793
F 0.269 0.269 0.269
F 0.731 0.731 0.731
F 0.766 0.207 0.207
F 0.793 0.234 0.793
F 0.793 0.793 0.234

---

This entry pairs a crystal structure of Na3TmF8 with its computed XRD peak list. Radiation: Cu Kα, 1.54184 Å. Structure: the PBE geometry in Alexandria.

Principal peaks in the range 10 to 80 degrees two-theta, by angle:
2θ = 15.6°, d = 5.667 Å, intensity 38
2θ = 18.2°, d = 4.865 Å, intensity 100
2θ = 28.2°, d = 3.161 Å, intensity 87
2θ = 28.9°, d = 3.093 Å, intensity 25
2θ = 46.5°, d = 1.952 Å, intensity 56
2θ = 47.8°, d = 1.904 Å, intensity 26

Atomic structure:
Lattice parameters (Å, degrees): 6.828 6.828 6.828 133.54 133.54 67.81
Fractional positions:
Na 0.000 0.000 0.000
Na 0.250 0.750 0.500
Na 0.750 0.250 0.500
Tm 0.500 0.500 0.000
F 0.146 0.146 0.527
F 0.146 0.619 0.000
F 0.381 0.381 0.527
F 0.381 0.854 0.000
F 0.619 0.146 0.000
F 0.619 0.619 0.473
F 0.854 0.381 0.000
F 0.854 0.854 0.473

---

This entry pairs a crystal structure of Na2TmF6 with its computed XRD peak list. Radiation: Cu Kα, 1.54184 Å. Structure: the PBE geometry in Alexandria.

Principal peaks in the range 10 to 80 degrees two-theta, by angle:
2θ = 14.7°, d = 6.040 Å, intensity 84
2θ = 18.5°, d = 4.801 Å, intensity 100
2θ = 24.4°, d = 3.654 Å, intensity 50
2θ = 28.0°, d = 3.191 Å, intensity 73
2θ = 28.9°, d = 3.092 Å, intensity 71
2θ = 47.8°, d = 1.904 Å, intensity 75

Atomic structure:
Lattice parameters (Å, degrees): 6.856 6.856 6.856 147.53 135.13 56.47
Fractional positions:
Na 0.171 0.171 0.000
Na 0.829 0.829 0.000
Tm 0.500 0.500 0.000
F 0.111 0.346 0.765
F 0.266 0.000 0.266
F 0.419 0.654 0.765
F 0.581 0.346 0.235
F 0.734 0.000 0.734
F 0.889 0.654 0.235

---

This entry pairs a crystal structure of NaU2F9 with its computed XRD peak list. Radiation: Cu Kα, 1.54184 Å. Structure: the PBE geometry in Alexandria.

Principal peaks in the range 10 to 80 degrees two-theta, by angle:
2θ = 15.7°, d = 5.660 Å, intensity 100
2θ = 21.0°, d = 4.237 Å, intensity 39
2θ = 24.2°, d = 3.671 Å, intensity 59
2θ = 26.8°, d = 3.328 Å, intensity 57
2θ = 27.4°, d = 3.255 Å, intensity 52
2θ = 30.7°, d = 2.913 Å, intensity 33

Atomic structure:
Lattice parameters (Å, degrees): 6.797 6.797 8.699 101.16 101.16 62.49
Fractional positions:
Na 0.102 0.898 0.500
Na 0.898 0.102 0.000
U 0.228 0.413 0.090
U 0.413 0.228 0.590
U 0.629 0.815 0.213
U 0.815 0.629 0.713
F 0.047 0.703 0.933
F 0.057 0.269 0.581
F 0.138 0.606 0.632
F 0.269 0.057 0.081
F 0.309 0.395 0.357
F 0.344 0.988 0.375
F 0.395 0.309 0.857
F 0.437 0.605 0.151
F 0.441 0.898 0.661
F 0.605 0.437 0.651
F 0.606 0.138 0.132
F 0.647 0.742 0.947
F 0.703 0.047 0.433
F 0.742 0.647 0.447
F 0.769 0.993 0.733
F 0.898 0.441 0.161
F 0.988 0.344 0.875
F 0.993 0.769 0.233